# 1
Diffraction record for Ba2TcNO3. The powder X-ray diffraction pattern is theoretical, not measured: it uses a GGA-PBE-relaxed structure and Cu Kα, 1.54184 Å.

Crystal structure
```
data_Ba2TcNO3
_symmetry_space_group_name_H-M 'I m m m'
_symmetry_Int_Tables_number 71
_symmetry_space_group_name_Hall '-I 2 2'
_cell_length_a 3.934
_cell_length_b 4.036
_cell_length_c 13.871
_cell_angle_alpha 90.00
_cell_angle_beta 90.00
_cell_angle_gamma 90.00
loop_
_atom_site_label
_atom_site_type_symbol
_atom_site_fract_x
_atom_site_fract_y
_atom_site_fract_z
Ba1 Ba 0.000 0.000 0.147
Tc1 Tc 0.000 0.000 0.500
N1 N 0.000 0.500 0.000
O1 O 0.000 0.000 0.346
O2 O 0.000 0.500 0.500
```

The 10 most intense peaks (2θ from 5° to 70°), low angle first:
29.4°, rel. 87
29.8°, rel. 87
31.8°, rel. 100
39.0°, rel. 26
41.3°, rel. 22
44.9°, rel. 25
46.1°, rel. 23
51.1°, rel. 33
54.9°, rel. 32
55.7°, rel. 30

***

# 2
Diffraction record for LiDyAg. The powder X-ray diffraction pattern is theoretical, not measured: it uses a GGA-PBE-relaxed structure and Cu Kα, 1.54184 Å.

Crystal structure
```
data_LiDyAg
_symmetry_space_group_name_H-M 'P 4/n m m'
_symmetry_Int_Tables_number 129
_cell_length_a 3.575
_cell_length_b 3.575
_cell_length_c 10.275
_cell_angle_alpha 90.00
_cell_angle_beta 90.00
_cell_angle_gamma 90.00
loop_
_symmetry_equiv_pos_as_xyz
'x,y,z'
'-x,-y,-z'
'-y+1/2,x,z'
'y+1/2,-x,-z'
'-x+1/2,-y+1/2,z'
'x+1/2,y+1/2,-z'
'y,-x+1/2,z'
'-y,x+1/2,-z'
'x+1/2,-y,-z'
'-x+1/2,y,z'
'-y,-x,-z'
'y,x,z'
'-x,y+1/2,-z'
'x,-y+1/2,z'
'y+1/2,x+1/2,-z'
'-y+1/2,-x+1/2,z'
loop_
_atom_site_label
_atom_site_type_symbol
_atom_site_fract_x
_atom_site_fract_y
_atom_site_fract_z
Li1 Li 0.250 0.250 0.070
Dy1 Dy 0.250 0.250 0.380
Ag1 Ag 0.250 0.250 0.795
```

The 10 most intense peaks (2θ from 5° to 70°), low angle first:
8.6°, rel. 59
17.3°, rel. 14
30.5°, rel. 100
35.5°, rel. 55
36.3°, rel. 55
44.1°, rel. 11
51.1°, rel. 19
57.8°, rel. 19
60.7°, rel. 28
64.3°, rel. 20